For CsTaIO6, the GGA-PBE geometry in Alexandria gives the calculated PXRD pattern in this record (Cu Kα).

Atomic structure:
```
CsTaIO6
1.0
2.7306 -4.7351 0.0000
2.7306 4.7351 0.0000
-0.0015 0.0000 6.7518
Cs Ta I O
1 1 1 6
direct
0.0000 0.0000 0.0000
0.3335 0.6665 0.5000
0.6667 0.3333 0.5000
0.4081 0.0005 0.6701
0.4088 0.4091 0.3291
0.5909 0.5912 0.6709
0.5936 0.0013 0.3300
0.9987 0.4064 0.6700
0.9995 0.5919 0.3299
```

Largest 10 diffraction maxima, low angle first, 10° ≤ 2θ ≤ 90°:
| Position (°2θ) | Rel. int. |
| --- | --- |
| 13.11 | 35 |
| 22.95 | 100 |
| 26.40 | 19 |
| 32.78 | 35 |
| 40.39 | 17 |
| 42.57 | 46 |
| 44.58 | 14 |
| 52.96 | 20 |
| 56.42 | 11 |
| 64.94 | 13 |